# 1
For Hf2TiS2, a structure optimized by DFT (GGA-PBE) gives the computed powder diffraction line list in this record (λ = 1.5418 Å (Cu Kα)).
Neutral-atom scattering factors, no anomalous dispersion.

a = 6.901 Å, b = 6.901 Å, c = 3.413 Å
α = 90.00°, β = 90.00°, γ = 90.00°
Atoms (fractional coordinates):
Hf 0.158 0.342 0.000
Hf 0.342 0.842 0.000
Hf 0.658 0.158 0.000
Hf 0.842 0.658 0.000
Ti 0.000 0.000 0.500
Ti 0.500 0.500 0.500
S 0.149 0.649 0.500
S 0.351 0.149 0.500
S 0.649 0.851 0.500
S 0.851 0.351 0.500

Most intense lines, 2θ = 10–90°, in order of rising 2θ:
2θ (°)  Rel. int.
26.1  20
28.9  52
32.0  14
37.0  17
39.4  100
41.4  32
61.7  16
80.0  17

=====

# 2
For Ba3Sr3Sb2N2, a structure optimized by DFT (GGA-PBE) gives the computed powder diffraction line list in this record (λ = 1.5418 Å (Cu Kα)).
Neutral-atom scattering factors, no anomalous dispersion.

a = 7.534 Å, b = 7.534 Å, c = 12.720 Å
α = 90.00°, β = 90.00°, γ = 120.00°
Atoms (fractional coordinates):
Ba 0.173 0.345 0.250
Ba 0.173 0.827 0.250
Ba 0.345 0.173 0.750
Ba 0.655 0.827 0.250
Ba 0.827 0.173 0.750
Ba 0.827 0.655 0.750
Sr 0.000 0.500 0.000
Sr 0.000 0.500 0.500
Sr 0.500 0.000 0.000
Sr 0.500 0.000 0.500
Sr 0.500 0.500 0.000
Sr 0.500 0.500 0.500
Sb 0.000 0.000 0.000
Sb 0.000 0.000 0.500
Sb 0.333 0.667 0.750
Sb 0.667 0.333 0.250
N 0.333 0.667 0.113
N 0.333 0.667 0.387
N 0.667 0.333 0.613
N 0.667 0.333 0.887

Most intense lines, 2θ = 10–90°, in order of rising 2θ:
2θ (°)  Rel. int.
28.1  39
28.2  56
30.8  100
34.7  38
45.2  17
48.3  29
51.4  24
56.8  32

=====

# 3
For ErZn3Rh3, a structure optimized by DFT (GGA-PBE) gives the computed powder diffraction line list in this record (λ = 1.5418 Å (Cu Kα)).
Neutral-atom scattering factors, no anomalous dispersion.

a = 6.658 Å, b = 6.658 Å, c = 6.658 Å
α = 90.00°, β = 90.00°, γ = 90.00°
Atoms (fractional coordinates):
Er 0.000 0.000 0.000
Er 0.500 0.500 0.500
Zn 0.000 0.250 0.500
Zn 0.000 0.750 0.500
Zn 0.250 0.500 0.000
Zn 0.500 0.000 0.250
Zn 0.500 0.000 0.750
Zn 0.750 0.500 0.000
Rh 0.000 0.500 0.250
Rh 0.000 0.500 0.750
Rh 0.250 0.000 0.500
Rh 0.500 0.250 0.000
Rh 0.500 0.750 0.000
Rh 0.750 0.000 0.500

Most intense lines, 2θ = 10–90°, in order of rising 2θ:
2θ (°)  Rel. int.
26.8  43
33.0  100
47.3  13
51.3  57
55.2  23
62.4  16
78.7  16
81.8  14

=====

# 4
For Zr2Ga4Co5, a structure optimized by DFT (GGA-PBE) gives the computed powder diffraction line list in this record (λ = 1.5418 Å (Cu Kα)).
Neutral-atom scattering factors, no anomalous dispersion.

a = 8.486 Å, b = 7.736 Å, c = 5.059 Å
α = 80.13°, β = 63.90°, γ = 35.97°
Atoms (fractional coordinates):
Zr 0.113 0.113 0.887
Zr 0.887 0.887 0.113
Ga 0.213 0.526 0.474
Ga 0.474 0.787 0.213
Ga 0.526 0.213 0.787
Ga 0.787 0.474 0.526
Co 0.000 0.000 0.500
Co 0.250 0.250 0.250
Co 0.500 0.500 0.000
Co 0.500 0.500 0.500
Co 0.750 0.750 0.750

Most intense lines, 2θ = 10–90°, in order of rising 2θ:
2θ (°)  Rel. int.
32.1  34
36.0  58
40.2  84
40.5  40
42.8  100
47.6  54
50.1  40
75.1  24

=====

# 5
For Mg6Bi2Sb, a structure optimized by DFT (GGA-PBE) gives the computed powder diffraction line list in this record (λ = 1.5418 Å (Cu Kα)).
Neutral-atom scattering factors, no anomalous dispersion.

a = 8.941 Å, b = 8.941 Å, c = 4.714 Å
α = 97.28°, β = 97.28°, γ = 44.93°
Atoms (fractional coordinates):
Mg 0.114 0.560 0.347
Mg 0.230 0.770 0.000
Mg 0.440 0.886 0.653
Mg 0.560 0.114 0.347
Mg 0.770 0.230 0.000
Mg 0.886 0.440 0.653
Bi 0.167 0.167 0.156
Bi 0.833 0.833 0.844
Sb 0.500 0.500 0.500

Most intense lines, 2θ = 10–90°, in order of rising 2θ:
2θ (°)  Rel. int.
20.8  87
23.1  100
32.8  26
35.2  42
37.8  35
38.0  23
38.6  17
43.0  19

=====

# 6
For CaMgNiH4, a structure optimized by DFT (GGA-PBE) gives the computed powder diffraction line list in this record (λ = 1.5418 Å (Cu Kα)).
Neutral-atom scattering factors, no anomalous dispersion.

a = 6.729 Å, b = 6.729 Å, c = 6.729 Å
α = 90.00°, β = 90.00°, γ = 90.00°
Atoms (fractional coordinates):
Ca 0.178 0.322 0.678
Ca 0.322 0.678 0.178
Ca 0.678 0.178 0.322
Ca 0.822 0.822 0.822
Mg 0.166 0.166 0.166
Mg 0.334 0.834 0.666
Mg 0.666 0.334 0.834
Mg 0.834 0.666 0.334
Ni 0.046 0.954 0.454
Ni 0.454 0.046 0.954
Ni 0.546 0.546 0.546
Ni 0.954 0.454 0.046
H 0.049 0.439 0.261
H 0.061 0.739 0.549
H 0.091 0.591 0.909
H 0.239 0.951 0.939
H 0.261 0.049 0.439
H 0.409 0.409 0.409
H 0.439 0.261 0.049
H 0.451 0.561 0.761
H 0.549 0.061 0.739
H 0.561 0.761 0.451
H 0.591 0.909 0.091
H 0.739 0.549 0.061
H 0.761 0.451 0.561
H 0.909 0.091 0.591
H 0.939 0.239 0.951
H 0.951 0.939 0.239

Most intense lines, 2θ = 10–90°, in order of rising 2θ:
2θ (°)  Rel. int.
22.9  100
29.7  75
32.6  62
37.8  62
40.2  46
44.7  48
50.8  42
56.4  41